(1)
Computed powder diffractogram
Compound: SrBi3Cl3O4
Radiation: a wavelength of 1.5418 Å
Structure: a DFT-relaxed cell (GGA-PBE, Alexandria)

Top 10 peaks for 10° ≤ 2θ ≤ 90°, most intense first:
2θ/deg, intensity
31.80, 100.0
27.54, 34.2
12.67, 26.4
56.69, 23.6
41.23, 20.0
45.66, 19.7
24.35, 19.0
22.60, 16.2
50.92, 15.3
75.66, 12.2

Cell lengths 14.2567, 14.2567, 14.2567 Å; angles 163.98, 163.98, 22.74 degrees
Atoms (fractional coordinates):
Sr: 0.0000 0.0000 0.0000
Bi: 0.3323 0.3323 0.0000
Bi: 0.5898 0.5898 0.0000
Bi: 0.7424 0.7424 0.0000
Cl: 0.1876 0.1876 0.0000
Cl: 0.4510 0.4510 0.0000
Cl: 0.8747 0.8747 0.0000
O: 0.0543 0.5543 0.5000
O: 0.2853 0.7853 0.5000
O: 0.5543 0.0543 0.5000
O: 0.7853 0.2853 0.5000



(2)
Computed powder diffractogram
Compound: Sr5Pb3
Radiation: a wavelength of 1.5418 Å
Structure: a DFT-relaxed cell (GGA-PBE, Alexandria)

Top 10 peaks for 10° ≤ 2θ ≤ 90°, most intense first:
2θ/deg, intensity
28.91, 100.0
23.57, 43.2
31.99, 33.7
19.89, 27.3
34.03, 23.3
55.16, 23.0
40.11, 22.4
28.52, 19.8
38.49, 17.8
33.01, 15.5

Cell lengths 7.7329, 7.7329, 5.5963 Å; angles 90.00, 90.00, 106.73 degrees
Atoms (fractional coordinates):
Sr: 0.0000 0.0000 0.0000
Sr: 0.0000 0.5000 0.0000
Sr: 0.3025 0.3025 0.5000
Sr: 0.5000 0.0000 0.0000
Sr: 0.6975 0.6975 0.5000
Pb: 0.1631 0.8369 0.5000
Pb: 0.5000 0.5000 0.0000
Pb: 0.8369 0.1631 0.5000



(3)
Computed powder diffractogram
Compound: Ba2AlClF5
Radiation: a wavelength of 1.5418 Å
Structure: a DFT-relaxed cell (GGA-PBE, Alexandria)

Top 10 peaks for 10° ≤ 2θ ≤ 90°, most intense first:
2θ/deg, intensity
29.35, 100.0
35.17, 73.1
26.91, 66.3
18.94, 51.1
38.42, 47.6
49.07, 42.8
49.54, 29.0
22.22, 28.9
64.38, 23.9
44.83, 21.4

Cell lengths 6.1617, 6.1617, 6.1617 Å; angles 114.94, 114.94, 99.02 degrees
Atoms (fractional coordinates):
Ba: 0.0000 0.5000 0.5000
Ba: 0.5000 0.0000 0.5000
Al: 0.1906 0.1906 0.0000
Cl: 0.8819 0.8819 0.0000
F: 0.3665 0.3665 0.3881
F: 0.3665 0.9784 0.0000
F: 0.4142 0.4142 0.0000
F: 0.9784 0.3665 0.0000
F: 0.9784 0.9784 0.6119